Starting from a structure optimized by DFT (GGA+U), the powder XRD pattern of Ba2MgMo4Se4O22 was computed for CuKα.

Main lines, most intense first (10 to 80 degrees two-theta):
Position (°2θ)  intensity
22.6  100
32.3  57
32.6  52
20.3  40
25.6  39
23.0  38
19.8  37
25.4  36

Cell and atoms:
```
Ba2MgMo4Se4O22
1.0
4.3883 -7.8336 0.0000
4.3883 7.8336 0.0000
-0.2959 0.0000 7.8498
Ba Mg Mo Se O
2 1 4 4 22
Cartesian
0.0000 0.0000 0.0000 Ba
5.3812 0.0000 3.8471 Ba
2.6803 0.0000 5.8904 Mg
4.9160 6.0731 3.9511 Mo
4.6987 1.7697 7.8295 Mo
4.6987 -1.7697 7.8295 Mo
4.9160 -6.0731 3.9511 Mo
1.9477 3.2357 6.7811 Se
3.6553 3.3200 2.7218 Se
1.9477 -3.2357 6.7811 Se
3.6553 -3.3200 2.7218 Se
1.2862 1.7148 6.1023 O
4.6668 6.3014 2.2377 O
2.9281 2.4815 0.3356 O
1.4349 0.0000 4.2455 O
2.7403 2.2480 3.6769 O
1.2862 -1.7148 6.1023 O
4.6888 4.1311 4.0299 O
4.9043 3.9178 7.4213 O
4.1782 1.3697 6.0745 O
4.9069 2.2762 2.1857 O
2.7403 -2.2480 3.6769 O
2.9281 -2.4815 0.3356 O
4.4222 0.0000 0.6393 O
4.1782 -1.3697 6.0745 O
6.7494 1.5843 0.1833 O
4.9069 -2.2762 2.1857 O
7.7203 1.3331 4.5882 O
4.6888 -4.1311 4.0299 O
4.9043 -3.9178 7.4213 O
6.7494 -1.5843 0.1833 O
4.6668 -6.3014 2.2377 O
7.7203 -1.3331 4.5882 O
```

=====

Starting from a structure optimized by DFT (GGA+U), the powder XRD pattern of BaLaFe2Cu2O11 was computed for CuKα.

Main lines, most intense first (10 to 80 degrees two-theta):
Position (°2θ)  intensity
10.8  100
32.0  95
25.7  59
47.6  33
35.0  22
47.3  20
33.1  20
33.2  19

Cell and atoms:
```
BaLaFe2Cu2O11
1.0
5.3932 0.0000 0.0000
0.0000 5.4096 0.0000
0.0000 0.0000 8.2194
Ba La Fe Cu O
1 1 2 2 11
Cartesian
0.0000 0.0000 0.0000 Ba
2.6966 2.7048 0.0637 La
0.0000 2.7048 6.1792 Fe
2.6966 0.0000 2.3943 Fe
0.0000 2.7048 2.1661 Cu
2.6966 0.0000 6.0434 Cu
0.0000 2.7048 8.0984 O
1.3594 1.4531 6.1636 O
1.3594 3.9565 6.1636 O
1.3783 1.4303 1.9351 O
1.3783 3.9794 1.9351 O
2.6966 0.0000 4.1935 O
2.6966 0.0000 8.0679 O
4.0150 1.4303 1.9351 O
4.0150 3.9794 1.9351 O
4.0339 1.4531 6.1636 O
4.0339 3.9565 6.1636 O
```

=====

Starting from a structure optimized by DFT (GGA+U), the powder XRD pattern of Gd2WO6 was computed for CuKα.

Main lines, most intense first (10 to 80 degrees two-theta):
Position (°2θ)  intensity
26.9  100
32.8  66
26.1  61
33.5  33
25.4  33
53.1  29
34.0  27
30.3  25

Cell and atoms:
```
Gd2WO6
1.0
5.3483 0.0000 0.0000
0.0000 9.2650 0.0000
0.0000 0.0000 10.1236
Gd W O
8 4 24
Cartesian
0.1076 0.9602 4.7002 Gd
0.1970 2.0282 8.8055 Gd
2.4771 7.2368 3.7437 Gd
2.5665 8.3049 9.7621 Gd
2.7817 3.6724 5.4234 Gd
2.8712 2.6043 1.3181 Gd
5.1512 6.6607 6.3799 Gd
5.2407 5.5927 0.3616 Gd
0.2110 4.5947 3.5362 W
2.4631 4.6703 8.5980 W
2.8852 0.0378 6.5874 W
5.1372 9.2272 1.5256 W
0.4456 7.8295 0.3075 O
0.9247 8.8202 2.9893 O
0.9857 5.8939 8.2965 O
1.0115 5.9294 2.4048 O
1.2226 1.0569 0.6820 O
1.3236 5.4543 4.9905 O
1.3505 3.8107 10.0523 O
1.4515 8.2081 5.7438 O
1.6626 3.3356 7.4666 O
1.6884 3.3711 3.2347 O
1.7495 0.4448 8.0511 O
2.2285 1.4355 5.3694 O
3.1197 6.0680 9.8161 O
3.5988 5.0773 7.1343 O
3.6598 8.0036 1.8271 O
3.6857 7.9681 7.7189 O
3.8967 3.5756 9.4416 O
3.9978 8.4432 5.1331 O
4.0246 0.8218 0.0713 O
4.1256 5.6894 4.3798 O
4.3367 1.2969 2.6570 O
4.3626 1.2614 6.8889 O
4.4236 4.1877 2.0725 O
4.9026 3.1970 4.7543 O
```

=====

Starting from a structure optimized by DFT (GGA+U), the powder XRD pattern of Li4MnCr3O8 was computed for CuKα.

Main lines, most intense first (10 to 80 degrees two-theta):
Position (°2θ)  intensity
18.3  100
43.4  53
42.3  29
35.6  26
34.9  15
62.1  15
62.4  14
37.1  12

Cell and atoms:
```
Li4MnCr3O8
1.0
5.1786 -2.9461 0.0000
5.1786 2.9461 0.0000
-3.3424 0.0000 4.8685
Li Mn Cr O
4 1 3 8
Cartesian
0.0000 0.0000 0.0000 Li
0.9181 1.4730 2.4343 Li
0.9181 -1.4730 2.4343 Li
5.1786 0.0000 0.0000 Li
-1.6712 0.0000 2.4343 Mn
2.5893 1.4730 0.0000 Cr
2.5893 -1.4730 0.0000 Cr
3.5074 0.0000 2.4343 Cr
4.1961 1.5102 1.2579 O
2.8187 1.5102 3.6106 O
0.0863 0.0000 3.7721 O
1.8830 0.0000 1.2059 O
5.1318 0.0000 3.6627 O
6.9285 0.0000 1.0964 O
4.1961 -1.5102 1.2579 O
2.8187 -1.5102 3.6106 O
```

=====

Starting from a structure optimized by DFT (GGA+U), the powder XRD pattern of Li9Mn7O16 was computed for CuKα.

Main lines, most intense first (10 to 80 degrees two-theta):
Position (°2θ)  intensity
18.2  100
40.4  35
44.3  26
44.2  26
33.8  18
61.8  16
36.1  12
36.4  11

Cell and atoms:
```
Li9Mn7O16
1.0
3.0181 0.0000 0.0000
-0.1399 8.2011 0.0000
-1.0496 -0.0216 12.1009
Li Mn O
9 7 16
Cartesian
0.0000 0.0000 0.0000 Li
-0.5248 -0.0108 6.0505 Li
-0.0699 4.1005 0.0000 Li
-0.2752 4.0881 2.9063 Li
1.3058 2.1974 1.5106 Li
0.9835 6.1307 4.5857 Li
0.8450 2.0488 7.5152 Li
0.5228 5.9821 10.5904 Li
2.1038 4.0914 9.1946 Li
-0.5947 4.0897 6.0505 Mn
-0.2166 -0.0021 2.9676 Mn
0.5297 2.1132 10.6429 Mn
0.7359 6.1368 7.5800 Mn
1.0927 2.0426 4.5209 Mn
1.2989 6.0663 1.4581 Mn
2.0452 8.1816 9.1333 Mn
-0.9857 2.0344 11.8896 O
-0.5307 6.0679 6.0729 O
-0.1958 1.9698 3.0414 O
-0.2428 6.2138 2.8235 O
0.4759 0.0808 10.5478 O
0.6859 4.1739 7.5150 O
1.0421 0.0684 4.4712 O
1.2826 4.2447 1.5422 O
0.5460 3.9348 10.5587 O
0.7865 8.1111 7.6297 O
1.1426 4.0056 4.5859 O
1.3527 8.0986 1.5531 O
2.0714 1.9657 9.2775 O
2.0244 6.2097 9.0595 O
2.3593 2.1115 6.0280 O
2.8143 6.1451 0.2114 O
```

=====

Starting from a structure optimized by DFT (GGA+U), the powder XRD pattern of LiCrSi3O8 was computed for CuKα.

Main lines, most intense first (10 to 80 degrees two-theta):
Position (°2θ)  intensity
13.8  100
23.9  92
26.5  55
28.5  42
20.1  37
24.4  35
32.1  34
16.3  30

Cell and atoms:
```
LiCrSi3O8
1.0
7.1258 0.0000 0.0000
-1.3199 7.0192 0.0000
-2.0221 -3.9320 6.1372
Li Cr Si O
2 2 6 16
Cartesian
0.3303 -1.2006 1.8987 Li
3.4535 4.2878 4.2386 Li
1.6641 -2.2490 4.3697 Cr
2.1197 5.3362 1.7675 Cr
-0.0935 2.6930 1.9849 Si
-0.2147 0.5324 4.3654 Si
1.9542 0.9779 0.2853 Si
1.8296 2.1093 5.8520 Si
3.9986 2.5548 1.7719 Si
3.8773 0.3942 4.1523 Si
-1.7498 0.1740 4.7452 O
-1.4348 3.8767 4.8131 O
0.7388 1.9587 0.7970 O
-0.1218 1.7404 3.2869 O
0.5816 -0.7241 3.7843 O
0.4397 4.2050 2.3894 O
2.0400 -0.3485 1.1887 O
0.4441 1.1199 5.7857 O
3.3398 1.9673 0.3515 O
1.7438 3.4357 4.9485 O
3.3441 -1.1178 3.7478 O
3.2022 3.8113 2.3529 O
3.9056 1.3468 2.8503 O
3.0451 1.1285 5.3402 O
5.2186 -0.7895 1.3241 O
5.5337 2.9132 1.3920 O
```

=====

Starting from a structure optimized by DFT (GGA+U), the powder XRD pattern of CrNiP2O8 was computed for CuKα.

Main lines, most intense first (10 to 80 degrees two-theta):
Position (°2θ)  intensity
30.8  100
17.8  97
20.4  83
36.6  72
25.6  70
36.1  62
25.8  60
20.7  42

Cell and atoms:
```
CrNiP2O8
1.0
4.7943 0.0000 0.0000
0.0000 5.8076 0.0000
-0.1769 0.0000 9.9590
Cr Ni P O
2 2 4 16
Cartesian
0.1066 1.4519 2.7523 Cr
4.5107 4.3557 7.2068 Cr
1.9755 1.4519 7.7375 Ni
2.6419 4.3557 2.2216 Ni
0.3333 4.3557 4.0545 P
1.7864 4.3557 8.9867 P
2.8309 1.4519 0.9723 P
4.2840 1.4519 5.9046 P
0.7479 4.3557 5.5320 O
0.9985 3.1343 3.3139 O
0.9985 5.5770 3.3139 O
0.9996 1.4519 6.0427 O
1.0278 3.1851 8.2317 O
1.0278 5.5262 8.2317 O
1.3297 1.4519 1.2392 O
1.6709 4.3557 0.5058 O
2.9465 1.4519 9.4532 O
3.2876 4.3557 8.7198 O
3.5896 0.2813 1.7274 O
3.5896 2.6224 1.7274 O
3.6177 4.3557 3.9163 O
3.6188 0.2306 6.6451 O
3.6188 2.6732 6.6451 O
3.8695 1.4519 4.4271 O
```